Starting from DFT lattice parameters and positions (PBE), the PXRD pattern of K2PtC4Br2N4 was computed for Cu Kα.
No peak broadening, texture or thermal motion is included.

Structure:
```
data_K2PtC4Br2N4
_chemical_formula_sum 'K4 Pt2 C8 Br4 N8'
_cell_length_a 7.314
_cell_length_b 9.262
_cell_length_c 8.806
_cell_angle_alpha 90.00
_cell_angle_beta 106.71
_cell_angle_gamma 90.00
_symmetry_space_group_name_H-M 'P 1 21/c 1'
_symmetry_Int_Tables_number 14
_symmetry_space_group_name_Hall '-P 2ybc'
loop_
_atom_site_label
_atom_site_type_symbol
_atom_site_fract_x
_atom_site_fract_y
_atom_site_fract_z
_atom_site_occupancy
K1 K 0.003 0.220 0.378 1
Pt1 Pt 0.500 0.000 0.000 1
C1 C 0.298 0.037 0.110 1
C2 C 0.306 0.046 0.792 1
Br1 Br 0.397 0.738 0.966 1
N1 N 0.176 0.060 0.168 1
N2 N 0.187 0.073 0.674 1
```

Principal peaks in the range 2θ = 5–70°, low angle first:
- 2θ = 12.64°, I = 87, (1 0 0)
- 2θ = 14.20°, I = 100, (0 1 1)
- 2θ = 16.91°, I = 75, (1 1 -1)
- 2θ = 21.03°, I = 87, (0 0 2)
- 2θ = 21.24°, I = 48, (1 0 -2)
- 2θ = 28.05°, I = 35, (2 0 -2)

***

Starting from DFT lattice parameters and positions (PBE), the PXRD pattern of K2OsCBr5O was computed for Cu Kα.
No peak broadening, texture or thermal motion is included.

Structure:
```
data_K2OsCBr5O
_chemical_formula_sum 'K8 Os4 C4 Br20 O4'
_cell_length_a 14.833
_cell_length_b 10.871
_cell_length_c 7.517
_cell_angle_alpha 90.00
_cell_angle_beta 90.00
_cell_angle_gamma 90.00
_symmetry_space_group_name_H-M 'P n m a'
_symmetry_Int_Tables_number 62
_symmetry_space_group_name_Hall '-P 2ac 2n'
loop_
_atom_site_label
_atom_site_type_symbol
_atom_site_fract_x
_atom_site_fract_y
_atom_site_fract_z
_atom_site_occupancy
K1 K 0.147 0.000 0.171 1
Os1 Os 0.114 0.250 0.690 1
C1 C 0.023 0.250 0.526 1
Br1 Br 0.006 0.250 0.954 1
Br2 Br 0.117 0.018 0.703 1
Br3 Br 0.228 0.250 0.440 1
Br4 Br 0.250 0.250 0.914 1
O1 O 0.033 0.750 0.585 1
```

Principal peaks in the range 2θ = 5–70°, low angle first:
- 2θ = 14.33°, I = 95, (0 1 1)
- 2θ = 14.46°, I = 100, (2 1 0)
- 2θ = 16.79°, I = 89, (2 0 1)
- 2θ = 29.86°, I = 39, (3 0 2)
- 2θ = 32.96°, I = 64, (0 4 0)
- 2θ = 33.96°, I = 55, (4 0 2)

***

Starting from DFT lattice parameters and positions (PBE), the PXRD pattern of Sr2LiCBr3N2 was computed for Cu Kα.
No peak broadening, texture or thermal motion is included.

Structure:
Unit cell a=14.762 b=14.762 c=14.762 alpha=90.00 beta=90.00 gamma=90.00
Space group Fd-3m (No. 227, origin choice 2)
One atom of each set of equivalent atoms:
Sr: 0.029 0.029 0.221 (multiplicity 32)
Li: 0.000 0.000 0.500 (multiplicity 16)
C: 0.000 0.000 0.000 (multiplicity 16)
Br: 0.071 0.375 0.875 (multiplicity 48)
N: 0.048 0.048 0.048 (multiplicity 32)

Principal peaks in the range 2θ = 5–70°, low angle first:
- 2θ = 20.84°, I = 20, (2 2 2)
- 2θ = 29.65°, I = 35, (4 2 2)
- 2θ = 31.49°, I = 100, (3 3 3)
- 2θ = 34.36°, I = 38, (4 4 0)
- 2θ = 47.30°, I = 26, (7 3 1)
- 2θ = 52.61°, I = 36, (6 6 0)